Calculated powder diffractogram of CuPH6NO5 for Cu Kα, from a cell relaxed with GGA-PBE.

Largest 10 diffraction maxima, low angle first, 15° ≤ 2θ ≤ 90°:
2θ (°)	d_spacing	Rel. int.
20.12	4.413	72
24.77	3.594	90
26.41	3.375	91
27.36	3.260	36
29.20	3.059	71
29.80	2.998	99
31.42	2.847	92
33.58	2.669	100
42.89	2.109	43
43.63	2.075	32

Cell and atoms:
abc: 8.7240 7.5444 7.5899
angles: 90.00 95.60 90.00
Fractional positions:
Cu 0.0356 0.1941 0.0756
Cu 0.0356 0.3059 0.5756
Cu 0.9644 0.6941 0.4244
Cu 0.9644 0.8059 0.9244
P 0.1926 0.5505 0.1723
P 0.1926 0.9495 0.6723
P 0.8074 0.0505 0.3277
P 0.8074 0.4495 0.8277
H 0.1986 0.0639 0.3259
H 0.1986 0.4361 0.8259
H 0.1993 0.5646 0.6579
H 0.1993 0.9354 0.1579
H 0.3713 0.2141 0.5124
H 0.3713 0.2859 0.0124
H 0.4277 0.1219 0.8819
H 0.4277 0.3781 0.3819
H 0.4614 0.6751 0.4269
H 0.4614 0.8249 0.9269
H 0.4720 0.6836 0.1053
H 0.4720 0.8164 0.6053
H 0.5280 0.1836 0.3947
H 0.5280 0.3164 0.8947
H 0.5386 0.1751 0.0731
H 0.5386 0.3249 0.5731
H 0.5723 0.6219 0.6181
H 0.5723 0.8781 0.1181
H 0.6287 0.7141 0.9876
H 0.6287 0.7859 0.4876
H 0.8007 0.0646 0.8421
H 0.8007 0.4354 0.3421
H 0.8014 0.5639 0.1741
H 0.8014 0.9361 0.6741
N 0.4667 0.2259 0.9666
N 0.4667 0.2741 0.4666
N 0.5333 0.7259 0.5334
N 0.5333 0.7741 0.0334
O 0.0894 0.5096 0.3227
O 0.0894 0.9904 0.8227
O 0.1487 0.7288 0.0761
O 0.1487 0.7712 0.5761
O 0.1711 0.1052 0.5331
O 0.1711 0.3948 0.0331
O 0.2194 0.0611 0.1975
O 0.2194 0.4389 0.6975
O 0.3650 0.5589 0.2421
O 0.3650 0.9411 0.7421
O 0.6350 0.0589 0.2579
O 0.6350 0.4411 0.7579
O 0.7806 0.5611 0.3025
O 0.7806 0.9389 0.8025
O 0.8289 0.6052 0.9669
O 0.8289 0.8948 0.4669
O 0.8513 0.2288 0.4239
O 0.8513 0.2712 0.9239
O 0.9106 0.0096 0.1773
O 0.9106 0.4904 0.6773

Calculated powder diffractogram of PrEu2Sb for Cu Kα, from a cell relaxed with GGA-PBE.

Largest 10 diffraction maxima, low angle first, 15° ≤ 2θ ≤ 90°:
2θ (°)	d_spacing	Rel. int.
30.83	2.900	100
34.69	2.586	18
36.27	2.477	32
51.06	1.789	24
52.23	1.751	11
59.79	1.547	15
61.89	1.499	27
64.23	1.450	12
83.36	1.159	12
84.54	1.146	6

Cell and atoms:
abc: 4.9539 4.9539 5.1713
angles: 90.00 90.00 90.00
Fractional positions:
Pr 0.0000 0.0000 0.0000
Eu 0.0000 0.5000 0.5000
Eu 0.5000 0.0000 0.5000
Sb 0.5000 0.5000 0.0000

Calculated powder diffractogram of Y2Ho3 for Cu Kα, from a cell relaxed with GGA-PBE.

Largest 10 diffraction maxima, low angle first, 15° ≤ 2θ ≤ 90°:
2θ (°)	d_spacing	Rel. int.
24.85	3.583	34
30.95	2.889	14
31.39	2.850	100
32.30	2.772	40
32.39	2.764	31
33.38	2.685	44
36.32	2.473	46
47.38	1.919	14
50.08	1.821	18
57.77	1.596	15

Cell and atoms:
abc: 11.5824 11.5824 5.4449
angles: 98.41 98.41 146.38
Fractional positions:
Y 0.0000 0.5000 0.0000
Y 0.1300 0.8700 0.0000
Y 0.5000 0.0000 0.0000
Y 0.8700 0.1300 0.0000
Ho 0.2124 0.4362 0.6625
Ho 0.2870 0.2870 0.1196
Ho 0.4362 0.2124 0.6625
Ho 0.5638 0.7876 0.3375
Ho 0.7130 0.7130 0.8804
Ho 0.7876 0.5638 0.3375

Calculated powder diffractogram of Pm2HoTh for Cu Kα, from a cell relaxed with GGA-PBE.

Largest 10 diffraction maxima, low angle first, 15° ≤ 2θ ≤ 90°:
2θ (°)	d_spacing	Rel. int.
30.39	2.941	100
34.97	2.566	17
35.37	2.538	34
50.58	1.804	25
50.88	1.795	12
59.90	1.544	15
60.43	1.532	29
63.23	1.471	13
82.39	1.171	12
82.85	1.165	6

Cell and atoms:
abc: 6.2619 6.2619 7.1810
angles: 90.00 90.00 69.91
Fractional positions:
Pm 0.2500 0.2500 0.0000
Pm 0.2500 0.2500 0.5000
Pm 0.7500 0.7500 0.0000
Pm 0.7500 0.7500 0.5000
Ho 0.2496 0.7504 0.7500
Ho 0.7504 0.2496 0.2500
Th 0.2504 0.7496 0.2500
Th 0.7496 0.2504 0.7500

Calculated powder diffractogram of CsUTeS6 for Cu Kα, from a cell relaxed with GGA-PBE.

Largest 10 diffraction maxima, low angle first, 15° ≤ 2θ ≤ 90°:
2θ (°)	d_spacing	Rel. int.
18.86	4.705	100
26.86	3.319	29
29.03	3.076	18
33.03	2.712	20
34.79	2.578	63
36.44	2.466	15
43.07	2.100	23
45.84	1.979	13
47.43	1.917	19
52.52	1.742	16

Cell and atoms:
abc: 6.6385 6.6385 8.1884
angles: 90.00 90.00 120.00
Fractional positions:
Cs 0.0000 0.0000 0.0000
U 0.3333 0.6667 0.5000
Te 0.6667 0.3333 0.5000
S 0.0019 0.3740 0.6837
S 0.0019 0.6279 0.3163
S 0.3721 0.3740 0.3163
S 0.3721 0.9981 0.6837
S 0.6260 0.6279 0.6837
S 0.6260 0.9981 0.3163

Calculated powder diffractogram of Pu2USe6 for Cu Kα, from a cell relaxed with GGA-PBE.

Largest 10 diffraction maxima, low angle first, 15° ≤ 2θ ≤ 90°:
2θ (°)	d_spacing	Rel. int.
23.78	3.741	56
23.91	3.721	57
30.92	2.892	48
33.98	2.638	82
41.74	2.164	26
42.01	2.151	100
48.68	1.871	19
54.94	1.671	20
66.24	1.411	15
66.44	1.407	40

Cell and atoms:
abc: 7.4428 7.4428 4.5944
angles: 90.00 90.00 120.00
Fractional positions:
Pu 0.3333 0.6667 0.2665
Pu 0.6667 0.3333 0.7335
U 0.0000 0.0000 0.5000
Se 0.0826 0.7076 0.7545
Se 0.2924 0.3750 0.7545
Se 0.3750 0.0826 0.2455
Se 0.6250 0.9174 0.7545
Se 0.7076 0.6250 0.2455
Se 0.9174 0.2924 0.2455

Calculated powder diffractogram of MgCuSnS4 for Cu Kα, from a cell relaxed with GGA-PBE.

Largest 10 diffraction maxima, low angle first, 15° ≤ 2θ ≤ 90°:
2θ (°)	d_spacing	Rel. int.
24.15	3.685	25
24.44	3.642	34
28.09	3.177	100
28.54	3.127	72
34.31	2.614	46
34.53	2.598	24
45.32	2.001	31
48.50	1.877	23
49.46	1.843	83
50.09	1.821	21

Cell and atoms:
abc: 7.3724 7.3724 7.3724
angles: 120.78 118.79 90.38
Fractional positions:
Mg 0.5000 0.0000 0.0000
Mg 0.5000 0.5000 0.5000
Cu 0.1109 0.3609 0.7500
Cu 0.8891 0.6391 0.2500
Sn 0.0000 0.0000 0.0000
Sn 0.5000 0.0000 0.5000
S 0.2517 0.2526 0.5009
S 0.2517 0.7508 0.9991
S 0.2541 0.2454 0.0086
S 0.2632 0.7546 0.5086
S 0.7368 0.2454 0.4914
S 0.7459 0.7546 0.9914
S 0.7483 0.2492 0.0009
S 0.7483 0.7474 0.4991

Calculated powder diffractogram of Nd2Zn3Au9 for Cu Kα, from a cell relaxed with GGA-PBE.

Largest 10 diffraction maxima, low angle first, 15° ≤ 2θ ≤ 90°:
2θ (°)	d_spacing	Rel. int.
34.42	2.606	14
35.04	2.561	51
35.24	2.547	100
36.44	2.466	13
37.62	2.391	15
38.97	2.311	31
39.09	2.305	61
55.42	1.658	16
68.31	1.373	19
68.42	1.371	20

Cell and atoms:
abc: 7.9987 7.9987 10.9345
angles: 111.11 111.11 59.81
Fractional positions:
Nd 0.0843 0.2500 0.2496
Nd 0.2500 0.0843 0.7496
Nd 0.7500 0.9157 0.2504
Nd 0.9157 0.7500 0.7504
Zn 0.0000 0.5000 0.0000
Zn 0.1459 0.6786 0.5019
Zn 0.3214 0.8541 0.9981
Zn 0.5000 0.0000 0.5000
Zn 0.6786 0.1459 0.0019
Zn 0.8541 0.3214 0.4981
Au 0.0301 0.8494 0.0708
Au 0.1506 0.9699 0.4292
Au 0.1968 0.3566 0.5693
Au 0.1996 0.5833 0.2538
Au 0.3090 0.4768 0.9267
Au 0.3566 0.1968 0.0693
Au 0.3605 0.6395 0.7500
Au 0.4167 0.8004 0.2462
Au 0.4768 0.3090 0.4267
Au 0.5232 0.6910 0.5733
Au 0.5833 0.1996 0.7538
Au 0.6395 0.3605 0.2500
Au 0.6434 0.8032 0.9307
Au 0.6910 0.5232 0.0733
Au 0.8004 0.4167 0.7462
Au 0.8032 0.6434 0.4307
Au 0.8494 0.0301 0.5708
Au 0.9699 0.1506 0.9292

Calculated powder diffractogram of ReTc6B4 for Cu Kα, from a cell relaxed with GGA-PBE.

Largest 10 diffraction maxima, low angle first, 15° ≤ 2θ ≤ 90°:
2θ (°)	d_spacing	Rel. int.
19.28	4.603	29
36.93	2.434	13
37.65	2.389	53
39.14	2.302	100
44.68	2.028	23
45.92	1.976	25
49.66	1.836	22
66.00	1.415	16
70.41	1.337	14
78.60	1.217	12

Cell and atoms:
abc: 5.6637 5.6637 5.6637
angles: 120.86 120.86 88.52
Fractional positions:
Re 0.0000 0.0000 0.0000
Tc 0.0000 0.5000 0.5000
Tc 0.0772 0.0772 0.6248
Tc 0.4524 0.4524 0.3752
Tc 0.5000 0.0000 0.5000
Tc 0.5476 0.9228 0.0000
Tc 0.9228 0.5476 0.0000
B 0.3018 0.5866 0.0000
B 0.4134 0.4134 0.7152
B 0.5866 0.3018 0.0000
B 0.6982 0.6982 0.2848

Calculated powder diffractogram of Zn3N2 for Cu Kα, from a cell relaxed with GGA-PBE.

Largest 10 diffraction maxima, low angle first, 15° ≤ 2θ ≤ 90°:
2θ (°)	d_spacing	Rel. int.
31.18	2.869	68
33.79	2.652	88
37.80	2.380	100
42.88	2.109	63
45.14	2.009	36
48.76	1.868	28
53.75	1.705	77
67.58	1.386	17
70.12	1.342	18
72.74	1.300	47

Cell and atoms:
abc: 3.4108 3.4108 12.0518
angles: 90.00 90.00 120.00
Fractional positions:
Zn 0.0000 0.0000 0.2500
Zn 0.0000 0.0000 0.7500
Zn 0.3333 0.6667 0.0790
Zn 0.3333 0.6667 0.4210
Zn 0.6667 0.3333 0.5790
Zn 0.6667 0.3333 0.9210
N 0.0000 0.0000 0.0000
N 0.0000 0.0000 0.5000
N 0.3333 0.6667 0.2500
N 0.6667 0.3333 0.7500

Calculated powder diffractogram of K3SmB2O6 for Cu Kα, from a cell relaxed with GGA-PBE.

Largest 10 diffraction maxima, low angle first, 15° ≤ 2θ ≤ 90°:
2θ (°)	d_spacing	Rel. int.
21.06	4.219	46
22.26	3.994	46
23.14	3.845	56
24.75	3.598	48
31.06	2.879	100
31.68	2.824	47
32.71	2.738	37
33.20	2.699	39
33.54	2.672	48
39.61	2.275	42

Cell and atoms:
abc: 9.0960 7.1958 11.3052
angles: 90.00 90.00 90.00
Fractional positions:
K 0.0595 0.2500 0.1307
K 0.1985 0.0023 0.4048
K 0.1985 0.4977 0.4048
K 0.3015 0.5023 0.9048
K 0.3015 0.9977 0.9048
K 0.4405 0.7500 0.6307
K 0.5595 0.2500 0.3693
K 0.6985 0.0023 0.0952
K 0.6985 0.4977 0.0952
K 0.8015 0.5023 0.5952
K 0.8015 0.9977 0.5952
K 0.9405 0.7500 0.8693
Sm 0.1261 0.2500 0.6694
Sm 0.3739 0.7500 0.1694
Sm 0.6261 0.2500 0.8306
Sm 0.8739 0.7500 0.3306
B 0.0629 0.7500 0.1270
B 0.0873 0.7500 0.6154
B 0.4127 0.2500 0.1154
B 0.4371 0.2500 0.6270
B 0.5629 0.7500 0.3730
B 0.5873 0.7500 0.8846
B 0.9127 0.2500 0.3846
B 0.9371 0.2500 0.8730
O 0.0078 0.7500 0.5094
O 0.0880 0.2500 0.8838
O 0.1219 0.7500 0.2427
O 0.1260 0.5813 0.6686
O 0.1260 0.9187 0.6686
O 0.1613 0.7500 0.0342
O 0.3387 0.2500 0.5342
O 0.3740 0.0813 0.1686
O 0.3740 0.4187 0.1686
O 0.3781 0.2500 0.7427
O 0.4120 0.7500 0.3839
O 0.4922 0.2500 0.0094
O 0.5078 0.7500 0.9906
O 0.5880 0.2500 0.6162
O 0.6219 0.7500 0.2573
O 0.6260 0.5813 0.8314
O 0.6260 0.9187 0.8314
O 0.6613 0.7500 0.4658
O 0.8387 0.2500 0.9658
O 0.8740 0.0813 0.3314
O 0.8740 0.4187 0.3314
O 0.8781 0.2500 0.7573
O 0.9120 0.7500 0.1162
O 0.9922 0.2500 0.4906